Entry 1:
Computed PXRD pattern
Compound: Sm2SbPd8
Radiation: CuKα
Structure: DFT lattice parameters and positions (PBE)
Neutral-atom scattering factors, no anomalous dispersion.

Cell: 4.793 5.981 14.526 Å, 90.00 90.00 90.00°
Space group Immm (No. 71)
Symmetry-distinct sites (fractional):
Sm  0.000  0.000  0.186 (multiplicity 4)
Sb  0.000  0.000  0.500 (multiplicity 2)
Pd  0.000  0.256  0.000 (multiplicity 4)
Pd  0.000  0.259  0.360 (multiplicity 8)
Pd  0.000  0.500  0.184 (multiplicity 4)

Peak list (12 most intense, 2θ = 10–90°, by angle)
- d 2.765, 2θ 32.4, I 8.6
- d 2.484, 2θ 36.2, I 22.5
- d 2.421, 2θ 37.1, I 20.0
- d 2.396, 2θ 37.5, I 34.8
- d 2.247, 2θ 40.1, I 100.0
- d 1.703, 2θ 53.8, I 13.5
- d 1.552, 2θ 59.6, I 9.2
- d 1.495, 2θ 62.1, I 7.7
- d 1.353, 2θ 69.5, I 19.3
- d 1.303, 2θ 72.6, I 10.4
- d 1.273, 2θ 74.6, I 10.6
- d 1.269, 2θ 74.8, I 8.8


Entry 2:
Computed PXRD pattern
Compound: Sm2Sb3Pd
Radiation: CuKα
Structure: DFT lattice parameters and positions (PBE)
Neutral-atom scattering factors, no anomalous dispersion.

Cell: 10.518 10.518 16.590 Å, 90.00 90.00 90.00°
Space group P4/mmm (No. 123)
Symmetry-distinct sites (fractional):
Sm  0.000  0.000  0.176 (multiplicity 2)
Sb  0.000  0.000  0.000 (multiplicity 1)
Sb  0.000  0.000  0.350 (multiplicity 2)
Pd  0.000  0.000  0.500 (multiplicity 1)

Peak list (12 most intense, 2θ = 10–90°, by angle)
- d 7.437, 2θ 11.9, I 100.0
- d 5.259, 2θ 16.9, I 46.2
- d 4.704, 2θ 18.9, I 71.3
- d 3.719, 2θ 23.9, I 20.2
- d 3.506, 2θ 25.4, I 17.4
- d 3.326, 2θ 26.8, I 31.0
- d 2.917, 2θ 30.6, I 21.5
- d 2.674, 2θ 33.5, I 14.3
- d 2.551, 2θ 35.2, I 14.8
- d 2.384, 2θ 37.7, I 20.7
- d 2.351, 2θ 38.3, I 13.8
- d 2.126, 2θ 42.5, I 14.7


Entry 3:
Computed PXRD pattern
Compound: Sm8Sb2Pd3
Radiation: CuKα
Structure: DFT lattice parameters and positions (PBE)
Neutral-atom scattering factors, no anomalous dispersion.

Cell: 16.030 8.145 7.056 Å, 90.00 106.08 90.00°
Space group C2/m (No. 12)
Symmetry-distinct sites (fractional):
Sm  0.093  0.000  0.363 (multiplicity 4)
Sm  0.102  0.500  0.407 (multiplicity 4)
Sm  0.109  0.248  0.903 (multiplicity 8)
Sb  0.249  0.000  0.167 (multiplicity 4)
Pd  0.000  0.244  0.500 (multiplicity 4)
Pd  0.000  0.500  0.000 (multiplicity 2)

Peak list (12 most intense, 2θ = 10–90°, by angle)
- d 7.702, 2θ 11.5, I 35.1
- d 4.645, 2θ 19.1, I 13.0
- d 3.486, 2θ 25.6, I 26.8
- d 3.365, 2θ 26.5, I 26.8
- d 3.022, 2θ 29.6, I 25.6
- d 2.827, 2θ 31.6, I 48.6
- d 2.792, 2θ 32.1, I 100.0
- d 2.420, 2θ 37.1, I 18.3
- d 2.390, 2θ 37.6, I 12.8
- d 2.036, 2θ 44.5, I 67.2
- d 1.940, 2θ 46.8, I 22.5
- d 1.652, 2θ 55.6, I 19.5


Entry 4:
Computed PXRD pattern
Compound: Sm3SbPd
Radiation: CuKα
Structure: DFT lattice parameters and positions (PBE)
Neutral-atom scattering factors, no anomalous dispersion.

Cell: 15.787 4.209 8.637 Å, 90.00 91.77 90.00°
Space group C2/m (No. 12)
Symmetry-distinct sites (fractional):
Sm  0.042  0.000  0.197 (multiplicity 4)
Sm  0.103  0.500  0.551 (multiplicity 4)
Sm  0.248  0.000  0.797 (multiplicity 4)
Sb  0.111  0.500  0.931 (multiplicity 4)
Pd  0.203  0.000  0.423 (multiplicity 4)

Peak list (12 most intense, 2θ = 10–90°, by angle)
- d 3.091, 2θ 28.9, I 100.0
- d 3.052, 2θ 29.3, I 20.2
- d 2.972, 2θ 30.1, I 82.7
- d 2.878, 2θ 31.1, I 23.2
- d 2.868, 2θ 31.2, I 65.0
- d 2.630, 2θ 34.1, I 17.2
- d 2.591, 2θ 34.6, I 22.3
- d 2.525, 2θ 35.6, I 59.6
- d 2.359, 2θ 38.1, I 41.5
- d 2.340, 2θ 38.5, I 45.7
- d 2.104, 2θ 43.0, I 46.4
- d 1.697, 2θ 54.0, I 42.2


Entry 5:
Computed PXRD pattern
Compound: Sm2Sb7Pd12
Radiation: CuKα
Structure: DFT lattice parameters and positions (PBE)
Neutral-atom scattering factors, no anomalous dispersion.

Cell: 10.5705 10.5705 4.3160 Å, 90.00 90.00 120.00°
Space group P-3 (No. 147)
Symmetry-distinct sites (fractional):
Sm  0.3333  0.6667  0.2398 (multiplicity 2)
Sb  0.0000  0.0000  0.5000 (multiplicity 1)
Sb  0.1142  0.7065  0.7329 (multiplicity 6)
Pd  0.0584  0.4360  0.7578 (multiplicity 6)
Pd  0.1196  0.2574  0.2198 (multiplicity 6)

Peak list (12 most intense, 2θ = 10–90°, by angle)
- d 2.700, 2θ 33.2, I 100.0
- d 2.492, 2θ 36.0, I 13.6
- d 2.188, 2θ 41.3, I 24.1
- d 2.158, 2θ 41.9, I 21.9
- d 2.100, 2θ 43.1, I 12.3
- d 2.022, 2θ 44.8, I 11.7
- d 1.998, 2θ 45.4, I 29.3
- d 1.888, 2θ 48.2, I 11.4
- d 1.570, 2θ 58.8, I 9.3
- d 1.466, 2θ 63.5, I 15.8
- d 1.328, 2θ 71.0, I 13.4
- d 1.252, 2θ 76.0, I 14.3


Entry 6:
Computed PXRD pattern
Compound: SmThSb2Pd2
Radiation: CuKα
Structure: DFT lattice parameters and positions (PBE)
Neutral-atom scattering factors, no anomalous dispersion.

Cell: 4.5541 4.5541 8.1373 Å, 90.00 90.00 120.00°
Space group P-3m1 (No. 164)
Symmetry-distinct sites (fractional):
Sm  0.0000  0.0000  0.0000 (multiplicity 1)
Th  0.0000  0.0000  0.5000 (multiplicity 1)
Sb  0.3333  0.6667  0.7657 (multiplicity 2)
Pd  0.3333  0.6667  0.2761 (multiplicity 2)

Peak list (12 most intense, 2θ = 10–90°, by angle)
- d 3.944, 2θ 22.5, I 6.2
- d 2.832, 2θ 31.6, I 100.0
- d 2.277, 2θ 39.6, I 51.7
- d 2.034, 2θ 44.5, I 10.5
- d 1.775, 2θ 51.5, I 25.5
- d 1.517, 2θ 61.1, I 24.6
- d 1.400, 2θ 66.8, I 23.3
- d 1.315, 2θ 71.8, I 8.9
- d 1.283, 2θ 73.9, I 8.6
- d 1.139, 2θ 85.2, I 5.7
- d 1.117, 2θ 87.2, I 5.7
- d 1.104, 2θ 88.6, I 9.1